# RbNiPO4
Calculated XRD peak list, Cu Ka. Input: a DFT-relaxed cell (GGA+U, Alexandria).
Peak positions follow from Bragg's law for the DFT cell and can differ from measured ones.

The 10 most intense peaks (5 to 70 degrees two-theta), low angle first:
11.7°, d 7.533, I 24.8, (0 0 1)
24.6°, d 3.618, I 21.6, (1 1 0)
26.1°, d 3.415, I 100.0, (1 0 -2)
28.5°, d 3.137, I 42.6, (0 1 2)
29.5°, d 3.028, I 94.5, (1 1 1)
31.6°, d 2.834, I 68.6, (0 2 0)
40.3°, d 2.237, I 58.3, (2 1 -1)
41.4°, d 2.181, I 42.2, (1 2 -2)
48.4°, d 1.879, I 22.8, (0 2 3)
56.2°, d 1.636, I 24.5, (1 2 3)

Atomic structure:
```
14
Lattice="4.8750 0.0000 0.0000 0.0000 5.6671 0.0000 -2.0746 0.0000 7.5326" Properties=species:S:1:pos:R:3 pbc="T T T"
Rb 0.7946 1.4168 0.8783
Rb 2.0057 4.2503 6.6543
Ni -0.3939 4.2503 3.8540
Ni 3.1942 1.4168 3.6786
P 0.4005 1.4168 5.2453
P 2.3998 4.2503 2.2872
O -0.6088 0.1845 5.1129
O -0.6088 2.6490 5.1129
O 1.6513 4.2503 0.9708
O 1.2748 1.4168 3.9750
O 1.5255 4.2503 3.5575
O 1.1491 1.4168 6.5618
O 3.4092 3.0181 2.4197
O 3.4092 5.4826 2.4197
```